# Ac7Pd5Pt
Computed X-ray diffraction stick pattern, Cu Kα, 1.54184 Å. Input: DFT lattice parameters and positions (GGA-PBE).
Kinematic intensities with the Lorentz-polarization factor, no thermal factor.

a b c (Å): 14.638 4.337 26.161
angles (deg): 90.00 90.05 90.00
Space group Cm (No. 8)
Unique sites:
Ac (0.000, 0.000, 0.000) [2 per cell]
Ac (0.000, 0.000, 0.145) [2 per cell]
Ac (0.049, 0.500, 0.285) [2 per cell]
Ac (0.049, 0.500, 0.860) [2 per cell]
Ac (0.096, 0.000, 0.714) [2 per cell]
Ac (0.097, 0.000, 0.430) [2 per cell]
Ac (0.126, 0.500, 0.573) [2 per cell]
Ac (0.245, 0.500, 0.073) [2 per cell]
Ac (0.274, 0.000, 0.215) [2 per cell]
Ac (0.274, 0.000, 0.931) [2 per cell]
Ac (0.321, 0.500, 0.785) [2 per cell]
Ac (0.322, 0.500, 0.360) [2 per cell]
Ac (0.371, 0.000, 0.500) [2 per cell]
Ac (0.371, 0.000, 0.645) [2 per cell]
Pd (0.141, 0.500, 0.176) [2 per cell]
Pd (0.141, 0.500, 0.969) [2 per cell]
Pd (0.185, 0.000, 0.323) [2 per cell]
Pd (0.185, 0.000, 0.823) [2 per cell]
Pd (0.229, 0.500, 0.469) [2 per cell]
Pd (0.229, 0.500, 0.676) [2 per cell]
Pd (0.410, 0.500, 0.250) [2 per cell]
Pd (0.410, 0.500, 0.895) [2 per cell]
Pd (0.460, 0.000, 0.750) [2 per cell]
Pd (0.461, 0.000, 0.395) [2 per cell]
Pt (0.396, 0.000, 0.072) [2 per cell]
Pt (0.475, 0.500, 0.573) [2 per cell]

Top 10 peaks for 15° ≤ 2θ ≤ 90°, in order of rising 2θ:
2θ/deg	I (rel.)	h k l
26.78	100	2 0 7
28.36	89	3 1 2
29.39	97	3 1 -3
29.93	23	2 0 8
37.75	33	1 1 9
39.61	25	5 1 4
40.77	63	6 0 5
41.00	33	5 1 5
41.65	42	0 2 0
50.21	37	2 2 7